For GaSe2S6, a DFT-relaxed cell (GGA-PBE, Alexandria) gives the simulated PXRD pattern in this record (CuKα).
Lines closer than 0.1° are merged.

Main lines, by angle (2θ from 10° to 90°):
16.55°, I 100, (0 1 0)
20.46°, I 31, (1 0 0)
22.10°, I 41, (1 1 0)
23.27°, I 39, (1 0 -1)
24.72°, I 37, (0 1 -2)
25.39°, I 51, (1 1 -1)
28.35°, I 42, (1 0 -2)
29.54°, I 50, (1 0 3)
35.60°, I 56, (0 2 2)
42.26°, I 29, (2 1 3)

Crystal structure
Lattice parameters (Å, degrees): 4.6566 5.7124 11.1464 79.79 78.02 70.79
Atoms (fractional coordinates):
Ga 0.0000 0.0000 0.0000
Se 0.2981 0.8792 0.1737
Se 0.7019 0.1208 0.8263
S 0.1179 0.2063 0.2874
S 0.1584 0.8861 0.5615
S 0.2003 0.5362 0.9917
S 0.7997 0.4638 0.0083
S 0.8416 0.1139 0.4385
S 0.8821 0.7937 0.7126